Structure and computed powder X-ray diffraction pattern of Rb2La2RuO6 (DFT lattice parameters and positions (PBE); CuKα).
Peak positions follow from Bragg's law for the DFT cell and can differ from measured ones.

abc: 6.040 6.040 6.874
angles: 96.95 96.95 118.67
Fractional coordinates of all 11 atoms:
Rb (0.160, 0.840, 0.000)
Rb (0.840, 0.160, 0.000)
La (0.334, 0.666, 0.500)
La (0.666, 0.334, 0.500)
Ru (0.000, 0.000, 0.500)
O (0.044, 0.348, 0.664)
O (0.227, 0.227, 0.331)
O (0.348, 0.044, 0.664)
O (0.652, 0.956, 0.336)
O (0.773, 0.773, 0.669)
O (0.956, 0.652, 0.336)

The 10 most intense peaks (10 to 90 degrees two-theta), most intense first:
d_spacing	I (rel.)
2.621	100
6.678	87
2.865	69
3.339	62
2.994	53
2.549	46
1.898	31
1.764	30
1.693	22
2.004	18